[1]
# TiZnNi
Computed X-ray diffraction stick pattern, copper Kα. Input: a crystal structure in Alexandria, relaxed with PBE.
Intensities are scaled so that the largest is 100.

Unit cell a=4.2564 b=8.4461 c=4.5858 alpha=90.00 beta=90.00 gamma=90.00
Space group Amm2 (No. 38)
Asymmetric unit:
Ti 0.0000 0.0000 0.0000 x2
Ti 0.5000 0.0000 0.4278 x2
Zn 0.5000 0.1829 0.9017 x4
Ni 0.0000 0.1635 0.5334 x4

Principal peaks in the range 15° ≤ 2θ ≤ 90°, by angle:
2θ (°)	intensity
37.5	11
39.3	22
42.5	32
43.3	100
44.9	24
59.2	12
70.0	9
78.3	15
82.1	7
85.5	10



[2]
# Ti2Zn4Ni
Computed X-ray diffraction stick pattern, copper Kα. Input: a crystal structure in Alexandria, relaxed with PBE.
Intensities are scaled so that the largest is 100.

Unit cell a=9.7914 b=5.1131 c=8.8620 alpha=90.00 beta=90.00 gamma=90.00
Space group Cmce (No. 64)
Asymmetric unit:
Ti 0.1436 0.0000 0.0000 x8
Zn 0.0000 0.2491 0.2500 x8
Zn 0.2500 0.2485 0.7500 x8
Ni 0.0000 0.0000 0.5000 x4

Principal peaks in the range 15° ≤ 2θ ≤ 90°, by angle:
2θ (°)	intensity
20.0	16
34.1	25
36.7	16
40.7	100
42.2	28
45.0	11
51.7	15
56.0	28
67.8	13
74.2	15



[3]
# Ti4ZnNi12
Computed X-ray diffraction stick pattern, copper Kα. Input: a crystal structure in Alexandria, relaxed with PBE.
Intensities are scaled so that the largest is 100.

Unit cell a=7.4845 b=7.4845 c=7.4845 alpha=90.00 beta=90.00 gamma=90.00
Space group Im-3m (No. 229)
Asymmetric unit:
Ti 0.2500 0.2500 0.2500 x8
Zn 0.0000 0.0000 0.0000 x2
Ni 0.0000 0.0000 0.3012 x12
Ni 0.0000 0.2500 0.5000 x12

Principal peaks in the range 15° ≤ 2θ ≤ 90°, by angle:
2θ (°)	intensity
23.8	14
38.0	11
41.8	100
45.3	19
48.7	63
51.8	12
57.8	16
71.3	29
86.2	21
88.6	9



[4]
# ZrTi2Ni9
Computed X-ray diffraction stick pattern, copper Kα. Input: a crystal structure in Alexandria, relaxed with PBE.
Intensities are scaled so that the largest is 100.

Unit cell a=5.1823 b=5.1823 c=18.9875 alpha=90.00 beta=90.00 gamma=120.00
Space group R3m (No. 160, hexagonal axes)
Asymmetric unit:
Zr 0.0000 0.0000 0.0000 x3
Ti 0.0000 0.0000 0.2199 x3
Ti 0.0000 0.0000 0.4373 x3
Ni 0.0073 0.5036 0.2176 x9
Ni 0.0154 0.5077 0.4447 x9
Ni 0.1728 0.3456 0.3300 x9

Principal peaks in the range 15° ≤ 2θ ≤ 90°, by angle:
2θ (°)	intensity
40.5	36
41.3	20
42.9	53
44.7	100
47.0	83
56.4	13
73.0	29
78.1	17
83.2	13
88.6	33



[5]
# ZrTi2Ni
Computed X-ray diffraction stick pattern, copper Kα. Input: a crystal structure in Alexandria, relaxed with PBE.
Intensities are scaled so that the largest is 100.

Unit cell a=3.0785 b=3.0785 c=7.0748 alpha=90.00 beta=90.00 gamma=90.00
Space group P4/mmm (No. 123)
Asymmetric unit:
Zr 0.0000 0.0000 0.0000 x1
Ti 0.5000 0.5000 0.2923 x2
Ni 0.0000 0.0000 0.5000 x1

Principal peaks in the range 15° ≤ 2θ ≤ 90°, by angle:
2θ (°)	intensity
25.2	8
29.0	8
31.7	9
38.8	100
41.5	45
51.7	8
60.1	14
68.3	12
73.9	27
83.2	7



[6]
# Tl2Ni
Computed X-ray diffraction stick pattern, copper Kα. Input: a crystal structure in Alexandria, relaxed with PBE.
Intensities are scaled so that the largest is 100.

Unit cell a=6.5615 b=6.5627 c=3.4672 alpha=90.00 beta=90.00 gamma=90.00
Space group Pnnm (No. 58)
Asymmetric unit:
Tl 0.2174 0.2190 0.0000 x4
Ni 0.0000 0.0000 0.5000 x2

Principal peaks in the range 15° ≤ 2θ ≤ 90°, by angle:
2θ (°)	intensity
27.2	48
30.5	18
32.2	100
38.8	34
40.3	14
49.3	18
51.3	39
60.4	11
67.4	13
84.2	13



[7]
# Tm3TlNi8
Computed X-ray diffraction stick pattern, copper Kα. Input: a crystal structure in Alexandria, relaxed with PBE.
Intensities are scaled so that the largest is 100.

Unit cell a=5.0048 b=5.0048 c=24.6398 alpha=90.00 beta=90.00 gamma=120.00
Space group R3m (No. 160, hexagonal axes)
Asymmetric unit:
Tm 0.0000 0.0000 0.0000 x3
Tm 0.0000 0.0000 0.1275 x3
Tm 0.0000 0.0000 0.5081 x3
Tl 0.0000 0.0000 0.6310 x3
Ni 0.0000 0.0000 0.3163 x3
Ni 0.0000 0.0000 0.8158 x3
Ni 0.0013 0.5007 0.0674 x9
Ni 0.1681 0.3362 0.8983 x9

Principal peaks in the range 15° ≤ 2θ ≤ 90°, by angle:
2θ (°)	intensity
21.7	23
35.8	45
35.9	45
42.2	32
42.3	100
44.3	13
64.4	25
68.9	30
75.8	14
76.1	15



[8]
# Tm7Tl4Ni
Computed X-ray diffraction stick pattern, copper Kα. Input: a crystal structure in Alexandria, relaxed with PBE.
Intensities are scaled so that the largest is 100.

Unit cell a=15.4332 b=5.2121 c=11.1271 alpha=90.00 beta=129.24 gamma=90.00
Space group C2/m (No. 12)
Asymmetric unit:
Tm 0.0000 0.0000 0.0000 x2
Tm 0.0631 0.5000 0.2799 x4
Tm 0.1470 0.0000 0.5726 x4
Tm 0.2219 0.5000 0.8640 x4
Tl 0.0793 0.0000 0.7809 x4
Tl 0.2174 0.0000 0.3519 x4
Ni 0.0000 0.5000 0.0000 x2

Principal peaks in the range 15° ≤ 2θ ≤ 90°, by angle:
2θ (°)	intensity
24.6	29
34.2	60
34.4	60
34.6	99
34.8	100
49.3	44
61.7	19
61.8	19
61.9	19
62.5	30



[9]
# Tm12Tl5Ni2
Computed X-ray diffraction stick pattern, copper Kα. Input: a crystal structure in Alexandria, relaxed with PBE.
Intensities are scaled so that the largest is 100.

Unit cell a=16.6170 b=7.3509 c=9.5874 alpha=90.00 beta=104.03 gamma=90.00
Space group C2/m (No. 12)
Asymmetric unit:
Tm 0.0045 0.0000 0.2514 x4
Tm 0.0140 0.5000 0.8333 x4
Tm 0.1505 0.2509 0.5759 x8
Tm 0.1587 0.2442 0.0912 x8
Tl 0.0000 0.5000 0.5000 x2
Tl 0.1877 0.0000 0.8415 x4
Tl 0.1970 0.0000 0.3587 x4
Ni 0.0000 0.1873 0.0000 x4

Principal peaks in the range 15° ≤ 2θ ≤ 90°, by angle:
2θ (°)	intensity
20.5	68
22.2	86
31.0	57
31.3	83
33.0	100
33.3	93
34.6	68
35.4	54
37.6	77
49.6	41



[10]
# TmTlNi
Computed X-ray diffraction stick pattern, copper Kα. Input: a crystal structure in Alexandria, relaxed with PBE.
Intensities are scaled so that the largest is 100.

Unit cell a=13.1959 b=3.6495 c=7.6548 alpha=90.00 beta=90.00 gamma=90.00
Space group Pmma (No. 51)
Asymmetric unit:
Tm 0.0468 0.0000 0.2142 x4
Tm 0.2500 0.0000 0.8460 x2
Tl 0.1161 0.5000 0.5754 x4
Tl 0.2500 0.5000 0.1829 x2
Ni 0.0886 0.5000 0.9413 x4
Ni 0.2500 0.0000 0.4459 x2

Principal peaks in the range 15° ≤ 2θ ≤ 90°, by angle:
2θ (°)	intensity
29.5	18
34.0	100
34.6	31
35.9	31
36.7	47
40.9	16
50.0	21
60.3	15
63.1	19
66.6	14



[11]
# Tm5Tl4Ni
Computed X-ray diffraction stick pattern, copper Kα. Input: a crystal structure in Alexandria, relaxed with PBE.
Intensities are scaled so that the largest is 100.

Unit cell a=10.1573 b=10.1573 c=5.2910 alpha=90.00 beta=90.00 gamma=90.00
Space group I4/m (No. 87)
Asymmetric unit:
Tm 0.0000 0.0000 0.0000 x2
Tm 0.1636 0.1895 0.5000 x8
Tl 0.0080 0.3239 0.0000 x8
Ni 0.0000 0.0000 0.5000 x2

Principal peaks in the range 15° ≤ 2θ ≤ 90°, by angle:
2θ (°)	intensity
31.4	100
33.9	25
37.6	35
51.5	29
54.2	11
59.1	17
64.0	22
65.5	13
83.5	7
84.3	10



[12]
# TlNiW2
Computed X-ray diffraction stick pattern, copper Kα. Input: a crystal structure in Alexandria, relaxed with PBE.
Intensities are scaled so that the largest is 100.

Unit cell a=3.2459 b=3.2459 c=6.3979 alpha=90.00 beta=90.00 gamma=90.00
Space group P4mm (No. 99)
Asymmetric unit:
Tl 0.0000 0.0000 0.0000 x1
Ni 0.5000 0.5000 0.7505 x1
W 0.0000 0.0000 0.5256 x1
W 0.5000 0.5000 0.3179 x1

Principal peaks in the range 15° ≤ 2θ ≤ 90°, by angle:
2θ (°)	intensity
27.9	7
30.9	14
39.3	58
39.6	100
48.8	7
56.7	20
65.0	7
71.4	35
72.0	12
85.2	8